Theoretical powder diffractogram of CaSb2O4 for Cu Kα X-rays, from a crystal structure in the Materials Project, relaxed with GGA-PBE.

Crystal structure
Cell: 6.492 7.135 18.206 Å, 88.08 89.27 63.86°
Space group P1 (No. 1)
Unique sites:
1 Ca 0.000 0.000 0.000
2 Ca 0.027 0.938 0.647
3 Ca 0.168 0.710 0.840
4 Ca 0.568 0.949 0.506
5 Ca 0.649 0.564 0.326
6 Ca 0.869 0.284 0.164
7 Sb 0.063 0.479 0.514
8 Sb 0.089 0.916 0.399
9 Sb 0.225 0.150 0.833
10 Sb 0.375 0.356 0.027
11 Sb 0.417 0.221 0.658
12 Sb 0.425 0.773 0.123
13 Sb 0.450 0.183 0.312
14 Sb 0.575 0.452 0.498
15 Sb 0.670 0.703 0.945
16 Sb 0.671 0.256 0.839
17 Sb 0.802 0.568 0.714
18 Sb 0.961 0.767 0.234
19 O 0.066 0.470 0.786
20 O 0.095 0.012 0.767
21 O 0.178 0.049 0.107
22 O 0.178 0.521 0.619
23 O 0.184 0.693 0.319
24 O 0.265 0.658 0.055
25 O 0.280 0.077 0.599
26 O 0.337 0.889 0.919
27 O 0.415 0.781 0.430
28 O 0.431 0.405 0.920
29 O 0.532 0.196 0.414
30 O 0.579 0.558 0.800
31 O 0.648 0.793 0.052
32 O 0.649 0.289 0.262
33 O 0.675 0.174 0.582
34 O 0.682 0.876 0.298
35 O 0.685 0.261 0.063
36 O 0.739 0.597 0.555
37 O 0.752 0.858 0.708
38 O 0.830 0.875 0.915
39 O 0.839 0.389 0.431
40 O 0.936 0.509 0.231
41 O 0.941 0.237 0.898
42 O 0.974 0.787 0.480

The 8 most intense peaks (10 to 80 degrees two-theta), in order of rising 2θ:
2θ (°)  I (rel.)  (hkl)
23.64  57  0 1 4
24.81  63  1 -1 0
28.46  34  0 2 -1
28.61  35  0 1 -5
28.72  53  1 1 5
31.08  66  2 1 3
31.41  100  2 1 -3
32.27  34  2 0 2

Theoretical powder diffractogram of Ca2Sb3O8 for Cu Kα X-rays, from a crystal structure in the Materials Project, relaxed with GGA-PBE.

Crystal structure
Cell: 11.448 6.782 5.471 Å, 90.00 110.92 90.00°
Space group C2/m (No. 12)
Unique sites:
1 Ca 0.220 0.000 0.155
2 Sb 0.000 0.233 0.500
3 Sb 0.000 0.500 0.000
4 O 0.105 0.000 0.430
5 O 0.107 0.500 0.388
6 O 0.113 0.292 0.925

The 8 most intense peaks (10 to 80 degrees two-theta), in order of rising 2θ:
2θ (°)  I (rel.)  (hkl)
16.58  100  2 0 0
25.48  38  1 1 1
28.15  41  3 1 -1
31.67  41  0 2 1
32.80  56  2 2 -1
35.12  26  0 0 2
41.68  43  4 2 -1
51.49  27  4 2 1

Theoretical powder diffractogram of CaSb3O7 for Cu Kα X-rays, from a crystal structure in the Materials Project, relaxed with GGA-PBE.

Crystal structure
Cell: 11.049 10.869 5.663 Å, 90.00 90.00 90.00°
Space group Pnma (No. 62)
Unique sites:
1 Ca 0.144 0.250 0.177
2 Sb 0.130 0.005 0.622
3 Sb 0.153 0.750 0.174
4 O 0.018 0.250 0.848
5 O 0.036 0.083 0.350
6 O 0.209 0.631 0.430
7 O 0.222 0.626 0.950

The 8 most intense peaks (10 to 80 degrees two-theta), in order of rising 2θ:
2θ (°)  I (rel.)  (hkl)
17.62  24  1 0 1
24.08  55  1 2 1
27.90  100  2 2 1
32.65  20  1 0 2
32.96  21  0 4 0
33.39  29  3 2 1
46.90  22  4 4 0
47.08  28  1 4 2

Theoretical powder diffractogram of CaSb2O4 for Cu Kα X-rays, from a crystal structure in the Materials Project, relaxed with GGA-PBE.

Crystal structure
Cell: 7.440 7.440 8.762 Å, 90.00 90.00 90.00°
Space group I-4 (No. 82)
Unique sites:
1 Ca 0.000 0.000 0.000
2 Ca 0.000 0.500 0.250
3 Sb 0.022 0.219 0.663
4 O 0.055 0.809 0.239
5 O 0.068 0.698 0.858

The 8 most intense peaks (10 to 80 degrees two-theta), in order of rising 2θ:
2θ (°)  I (rel.)  (hkl)
15.63  65  1 0 1
20.27  33  0 0 2
28.70  100  1 2 1
31.55  61  2 0 2
32.95  41  1 0 3
34.09  33  2 2 0
45.14  23  3 2 1
54.47  29  3 2 3

Theoretical powder diffractogram of SrCaSmSbO6 for Cu Kα X-rays, from a crystal structure in the Materials Project, relaxed with GGA-PBE.

Crystal structure
Cell: 8.468 8.468 8.468 Å, 90.00 90.00 90.00°
Space group F-43m (No. 216)
Unique sites:
1 Sr 0.000 0.000 0.000
2 Ca 0.000 0.000 0.500
3 Sm 0.250 0.250 0.750
4 Sb 0.250 0.250 0.250
5 O 0.015 0.250 0.250

The 8 most intense peaks (10 to 80 degrees two-theta), in order of rising 2θ:
2θ (°)  I (rel.)  (hkl)
20.98  27  2 0 0
29.84  100  2 2 0
42.71  33  4 0 0
48.05  11  4 2 0
52.98  40  4 2 2
62.00  20  4 4 0
70.31  18  6 2 0
78.21  7  4 4 4